# 1
Structure and calculated powder diffraction line list of TbSm12Th5 (a structure optimized by DFT (GGA-PBE); Cu Kα (λ = 1.5418 Å)).
No peak broadening, texture or thermal motion is included.

Atomic structure:
Cell: 10.8016 10.8016 6.2613 Å, 106.36 106.36 60.04°
Fractional positions:
Tb 0.0000 0.0000 0.0000
Sm 0.0038 0.3317 0.3358
Sm 0.1643 0.8357 0.5000
Sm 0.1697 0.4967 0.1676
Sm 0.3317 0.0038 0.3358
Sm 0.3392 0.6608 0.0000
Sm 0.4967 0.1697 0.1676
Sm 0.5033 0.8303 0.8324
Sm 0.6608 0.3392 0.0000
Sm 0.6683 0.9962 0.6642
Sm 0.8303 0.5033 0.8324
Sm 0.8357 0.1643 0.5000
Sm 0.9962 0.6683 0.6642
Th 0.1680 0.1680 0.8294
Th 0.3339 0.3339 0.6686
Th 0.5000 0.5000 0.5000
Th 0.6661 0.6661 0.3314
Th 0.8320 0.8320 0.1706

Top 12 peaks for 2θ from 10° to 90°, in order of rising 2θ:
d_spacing, I_rel
2.947, 100.0
2.567, 17.2
2.545, 33.6
1.807, 24.5
1.801, 6.0
1.798, 6.0
1.546, 11.1
1.537, 7.2
1.535, 21.6
1.474, 9.4
1.173, 6.0
1.139, 5.5

***

# 2
Structure and calculated powder diffraction line list of Tb3SmTh (a structure optimized by DFT (GGA-PBE); Cu Kα (λ = 1.5418 Å)).
No peak broadening, texture or thermal motion is included.

Atomic structure:
Cell: 9.3511 9.3511 11.3651 Å, 90.69 90.69 21.53°
Fractional positions:
Tb 0.1495 0.1495 0.2977
Tb 0.1967 0.1967 0.5924
Tb 0.2185 0.2185 0.8822
Tb 0.7815 0.7815 0.1178
Tb 0.8033 0.8033 0.4076
Tb 0.8505 0.8505 0.7023
Sm 0.0368 0.0368 0.7854
Sm 0.9632 0.9632 0.2146
Th 0.4102 0.4102 0.9528
Th 0.5898 0.5898 0.0472

Top 12 peaks for 2θ from 10° to 90°, in order of rising 2θ:
d_spacing, I_rel
7.187, 36.2
3.287, 44.5
2.966, 89.3
2.940, 86.6
2.905, 100.0
2.724, 72.1
2.545, 78.0
2.531, 62.1
2.466, 53.4
1.696, 34.5
1.505, 33.7
1.496, 47.5

***

# 3
Structure and calculated powder diffraction line list of TbSmTm5Th2 (a structure optimized by DFT (GGA-PBE); Cu Kα (λ = 1.5418 Å)).
No peak broadening, texture or thermal motion is included.

Atomic structure:
Cell: 9.8099 9.8099 9.8099 Å, 127.12 127.12 78.06°
Fractional positions:
Tb 0.2500 0.2500 0.0000
Tb 0.7500 0.7500 0.0000
Sm 0.2500 0.7500 0.5000
Sm 0.7500 0.2500 0.5000
Tm 0.0000 0.0000 0.0000
Tm 0.0692 0.5692 0.9174
Tm 0.1518 0.0692 0.5000
Tm 0.3482 0.8482 0.9174
Tm 0.4308 0.3482 0.5000
Tm 0.5000 0.5000 0.0000
Tm 0.5692 0.6518 0.5000
Tm 0.6518 0.1518 0.0826
Tm 0.8482 0.9308 0.5000
Tm 0.9308 0.4308 0.0826
Th 0.1191 0.3809 0.5000
Th 0.3809 0.8809 0.2619
Th 0.6191 0.1191 0.7381
Th 0.8809 0.6191 0.5000

Top 12 peaks for 2θ from 10° to 90°, in order of rising 2θ:
d_spacing, I_rel
3.094, 100.0
2.871, 82.1
2.763, 16.0
2.597, 12.6
2.403, 14.4
2.393, 21.4
2.099, 21.7
1.955, 9.7
1.905, 11.1
1.738, 17.5
1.621, 18.5
1.199, 14.1

***

# 4
Structure and calculated powder diffraction line list of Tb2SmTm4Th (a structure optimized by DFT (GGA-PBE); Cu Kα (λ = 1.5418 Å)).
No peak broadening, texture or thermal motion is included.

Atomic structure:
Cell: 5.0325 5.0443 9.8569 Å, 90.00 90.06 90.00°
Fractional positions:
Tb 0.0000 0.0000 0.0000
Tb 0.5000 0.5000 0.5000
Sm 0.0000 0.0000 0.5000
Tm 0.0001 0.5000 0.2470
Tm 0.9999 0.5000 0.7530
Tm 0.5003 0.0000 0.2466
Tm 0.4997 0.0000 0.7534
Th 0.5000 0.5000 0.0000

Top 12 peaks for 2θ from 10° to 90°, in order of rising 2θ:
d_spacing, I_rel
2.887, 100.0
2.519, 34.5
2.464, 16.2
1.781, 12.4
1.762, 23.8
1.517, 14.7
1.515, 14.6
1.492, 13.8
1.444, 12.4
1.155, 6.1
1.144, 8.9
1.107, 5.5

***

# 5
Structure and calculated powder diffraction line list of Tb6SmY3Th2 (a structure optimized by DFT (GGA-PBE); Cu Kα (λ = 1.5418 Å)).
No peak broadening, texture or thermal motion is included.

Atomic structure:
Cell: 6.1952 6.1952 11.8358 Å, 95.01 95.01 119.95°
Fractional positions:
Tb 0.0792 0.4169 0.7524
Tb 0.2452 0.2452 0.2478
Tb 0.4169 0.0792 0.7524
Tb 0.5831 0.9208 0.2476
Tb 0.7548 0.7548 0.7522
Tb 0.9208 0.5831 0.2476
Sm 0.5000 0.5000 0.0000
Y 0.0000 0.0000 0.5000
Y 0.3336 0.6664 0.5000
Y 0.6664 0.3336 0.5000
Th 0.1667 0.8333 0.0000
Th 0.8333 0.1667 0.0000

Top 12 peaks for 2θ from 10° to 90°, in order of rising 2θ:
d_spacing, I_rel
2.922, 33.6
2.918, 100.0
2.528, 67.5
1.788, 32.1
1.786, 16.0
1.525, 42.9
1.522, 14.2
1.460, 8.2
1.264, 7.6
1.161, 11.8
1.131, 7.4
1.130, 11.0

***

# 6
Structure and calculated powder diffraction line list of TbSm5Tl4 (a structure optimized by DFT (GGA-PBE); Cu Kα (λ = 1.5418 Å)).
No peak broadening, texture or thermal motion is included.

Atomic structure:
Cell: 3.6633 3.6633 22.2122 Å, 90.00 90.00 90.00°
Fractional positions:
Tb 0.0000 0.0000 0.0000
Sm 0.5000 0.5000 0.1138
Sm 0.5000 0.5000 0.3064
Sm 0.5000 0.5000 0.5000
Sm 0.5000 0.5000 0.6936
Sm 0.5000 0.5000 0.8862
Tl 0.0000 0.0000 0.2099
Tl 0.0000 0.0000 0.4033
Tl 0.0000 0.0000 0.5967
Tl 0.0000 0.0000 0.7901

Top 12 peaks for 2θ from 10° to 90°, in order of rising 2θ:
d_spacing, I_rel
2.826, 100.0
2.590, 42.1
2.221, 10.5
1.832, 15.3
1.686, 18.0
1.537, 32.4
1.413, 10.0
1.373, 6.4
1.177, 6.9
1.158, 7.0
1.119, 4.9
1.099, 6.6

***

# 7
Structure and calculated powder diffraction line list of Tb5SmTl3 (a structure optimized by DFT (GGA-PBE); Cu Kα (λ = 1.5418 Å)).
No peak broadening, texture or thermal motion is included.

Atomic structure:
Cell: 9.4357 9.4357 6.7616 Å, 90.00 90.00 120.00°
Fractional positions:
Tb 0.0000 0.3315 0.2500
Tb 0.0000 0.6685 0.7500
Tb 0.3315 0.0000 0.2500
Tb 0.3315 0.3315 0.7500
Tb 0.3333 0.6667 0.0000
Tb 0.3333 0.6667 0.5000
Tb 0.6667 0.3333 0.0000
Tb 0.6667 0.3333 0.5000
Tb 0.6685 0.0000 0.7500
Tb 0.6685 0.6685 0.2500
Sm 0.0000 0.0000 0.0000
Sm 0.0000 0.0000 0.5000
Tl 0.0000 0.3367 0.7500
Tl 0.0000 0.6633 0.2500
Tl 0.3367 0.0000 0.7500
Tl 0.3367 0.3367 0.2500
Tl 0.6633 0.0000 0.2500
Tl 0.6633 0.6633 0.7500

Top 12 peaks for 2θ from 10° to 90°, in order of rising 2θ:
d_spacing, I_rel
3.381, 9.1
2.748, 87.0
2.724, 100.0
2.121, 15.4
1.935, 31.7
1.690, 8.2
1.577, 33.0
1.573, 19.3
1.436, 28.6
1.362, 11.9
1.220, 14.2
1.151, 14.2

***

# 8
Structure and calculated powder diffraction line list of Tb14SmTl (a structure optimized by DFT (GGA-PBE); Cu Kα (λ = 1.5418 Å)).
No peak broadening, texture or thermal motion is included.

Atomic structure:
Cell: 7.0646 7.0646 10.0561 Å, 90.00 90.00 90.00°
Fractional positions:
Tb 0.0000 0.0000 0.0000
Tb 0.0000 0.5000 0.0000
Tb 0.0000 0.5000 0.5000
Tb 0.2499 0.2499 0.2513
Tb 0.2499 0.2499 0.7487
Tb 0.2499 0.7501 0.2513
Tb 0.2499 0.7501 0.7487
Tb 0.5000 0.0000 0.0000
Tb 0.5000 0.0000 0.5000
Tb 0.5000 0.5000 0.0000
Tb 0.7501 0.2499 0.2513
Tb 0.7501 0.2499 0.7487
Tb 0.7501 0.7501 0.2513
Tb 0.7501 0.7501 0.7487
Sm 0.0000 0.0000 0.5000
Tl 0.5000 0.5000 0.5000

Top 12 peaks for 2θ from 10° to 90°, in order of rising 2θ:
d_spacing, I_rel
2.890, 100.0
2.514, 17.1
2.498, 33.5
1.772, 24.1
1.766, 11.9
1.514, 14.4
1.507, 28.3
1.445, 12.3
1.150, 11.9
1.146, 5.9
1.123, 5.6
1.118, 5.6

***

# 9
Structure and calculated powder diffraction line list of TbSm8Tl2 (a structure optimized by DFT (GGA-PBE); Cu Kα (λ = 1.5418 Å)).
No peak broadening, texture or thermal motion is included.

Atomic structure:
Cell: 9.2948 9.2948 6.2071 Å, 101.88 101.88 42.55°
Fractional positions:
Tb 0.0000 0.0000 0.0000
Sm 0.0847 0.5663 0.8719
Sm 0.1262 0.1262 0.5870
Sm 0.4337 0.9153 0.1281
Sm 0.4910 0.4910 0.2521
Sm 0.5090 0.5090 0.7479
Sm 0.5663 0.0847 0.8719
Sm 0.8738 0.8738 0.4130
Sm 0.9153 0.4337 0.1281
Tl 0.3230 0.3230 0.3950
Tl 0.6770 0.6770 0.6050

Top 12 peaks for 2θ from 10° to 90°, in order of rising 2θ:
d_spacing, I_rel
3.132, 26.6
3.073, 31.0
3.021, 33.8
2.946, 77.2
2.816, 69.6
2.767, 47.0
2.704, 29.3
2.693, 100.0
2.668, 43.5
2.641, 29.5
2.548, 71.3
1.721, 30.0

***

# 10
Structure and calculated powder diffraction line list of Tb4Sm2Tl (a structure optimized by DFT (GGA-PBE); Cu Kα (λ = 1.5418 Å)).
No peak broadening, texture or thermal motion is included.

Atomic structure:
Cell: 5.8100 6.7265 11.5725 Å, 90.00 103.45 90.00°
Fractional positions:
Tb 0.1056 0.2500 0.1310
Tb 0.2815 0.7500 0.4306
Tb 0.3392 0.5091 0.7129
Tb 0.3392 0.9909 0.7129
Tb 0.6608 0.0091 0.2871
Tb 0.6608 0.4909 0.2871
Tb 0.7185 0.2500 0.5694
Tb 0.8944 0.7500 0.8690
Sm 0.1654 0.2500 0.4297
Sm 0.4646 0.7500 0.0241
Sm 0.5354 0.2500 0.9759
Sm 0.8346 0.7500 0.5703
Tl 0.0345 0.7500 0.1587
Tl 0.9655 0.2500 0.8413

Top 12 peaks for 2θ from 10° to 90°, in order of rising 2θ:
d_spacing, I_rel
3.363, 29.5
2.904, 75.1
2.886, 100.0
2.836, 91.2
2.791, 72.8
2.722, 37.1
2.705, 38.8
2.583, 24.4
2.504, 23.2
2.167, 21.4
1.682, 27.9
1.447, 23.4

***

# 11
Structure and calculated powder diffraction line list of Tb5SmTl6 (a structure optimized by DFT (GGA-PBE); Cu Kα (λ = 1.5418 Å)).
No peak broadening, texture or thermal motion is included.

Atomic structure:
Cell: 9.3605 9.3605 5.3971 Å, 106.69 106.69 120.31°
Fractional positions:
Tb 0.0000 0.0000 0.0000
Tb 0.1669 0.8331 0.5000
Tb 0.3347 0.6653 0.0000
Tb 0.6653 0.3347 0.0000
Tb 0.8331 0.1669 0.5000
Sm 0.5000 0.5000 0.5000
Tl 0.0802 0.4162 0.2480
Tl 0.2460 0.2460 0.7460
Tl 0.4162 0.0802 0.2480
Tl 0.5838 0.9198 0.7520
Tl 0.7540 0.7540 0.2540
Tl 0.9198 0.5838 0.7520

Top 12 peaks for 2θ from 10° to 90°, in order of rising 2θ:
d_spacing, I_rel
2.701, 100.0
2.694, 49.6
1.911, 18.5
1.902, 9.1
1.560, 28.9
1.556, 23.9
1.553, 4.7
1.349, 8.9
1.347, 5.9
1.209, 8.4
1.207, 8.4
1.204, 4.1

***

# 12
Structure and calculated powder diffraction line list of Tb2Sm3Tl (a structure optimized by DFT (GGA-PBE); Cu Kα (λ = 1.5418 Å)).
No peak broadening, texture or thermal motion is included.

Atomic structure:
Cell: 4.9363 15.3231 4.9191 Å, 90.00 90.00 90.00°
Fractional positions:
Tb 0.0000 0.1626 0.0000
Tb 0.0000 0.8374 0.0000
Tb 0.5000 0.3374 0.0000
Tb 0.5000 0.6626 0.0000
Sm 0.0000 0.0000 0.5000
Sm 0.0000 0.3313 0.5000
Sm 0.0000 0.6687 0.5000
Sm 0.5000 0.1687 0.5000
Sm 0.5000 0.5000 0.5000
Sm 0.5000 0.8313 0.5000
Tl 0.0000 0.5000 0.0000
Tl 0.5000 0.0000 0.0000

Top 12 peaks for 2θ from 10° to 90°, in order of rising 2θ:
d_spacing, I_rel
2.878, 100.0
2.554, 17.9
2.468, 16.4
2.460, 16.3
1.775, 12.2
1.772, 12.1
1.742, 11.6
1.530, 14.8
1.492, 13.9
1.489, 13.8
1.439, 12.2
1.150, 5.9